No. 1
Structure and simulated powder diffraction line list of SrAcTlN (a cell relaxed with GGA-PBE; Cu Kα, 1.54184 Å).

Cell and atoms:
Lattice parameters (Å, degrees): 6.694 3.879 8.944 90.00 104.55 90.00
Space group Cm (No. 8)
Asymmetric unit:
Sr1 0.000 0.000 0.000 x2
Ac1 0.281 0.500 0.347 x2
Tl1 0.059 0.500 0.684 x2
N1 0.398 0.000 0.199 x2

Largest 10 diffraction maxima, low angle first, 2θ from 10° to 90°:
- (0 0 1), 10.2 deg, rel. 26
- (2 0 -1), 26.8 deg, rel. 62
- (1 1 1), 30.0 deg, rel. 100
- (0 0 3), 31.0 deg, rel. 42
- (1 1 -2), 31.7 deg, rel. 72
- (2 0 1), 31.8 deg, rel. 35
- (2 0 -4), 44.1 deg, rel. 22
- (3 1 -1), 47.0 deg, rel. 30
- (1 1 -5), 56.7 deg, rel. 26
- (0 2 3), 57.3 deg, rel. 30


No. 2
Structure and simulated powder diffraction line list of AcTaN3 (a cell relaxed with GGA-PBE; Cu Kα, 1.54184 Å).

Cell and atoms:
Lattice parameters (Å, degrees): 6.050 4.197 6.130 90.00 90.00 90.00
Space group Pmma (No. 51)
Asymmetric unit:
Ac1 0.250 0.000 0.238 x2
Ta1 0.250 0.500 0.787 x2
N1 0.000 0.500 0.000 x2
N2 0.250 0.000 0.782 x2
N3 0.250 0.500 0.464 x2

Largest 10 diffraction maxima, low angle first, 2θ from 10° to 90°:
- (0 0 2), 29.1 deg, rel. 25
- (2 0 0), 29.5 deg, rel. 31
- (1 1 1), 29.7 deg, rel. 100
- (2 0 2), 42.0 deg, rel. 22
- (0 2 0), 43.1 deg, rel. 12
- (1 1 3), 52.0 deg, rel. 19
- (3 1 1), 52.5 deg, rel. 22
- (0 2 2), 52.9 deg, rel. 10
- (2 2 0), 53.1 deg, rel. 12
- (2 2 2), 61.7 deg, rel. 14


No. 3
Structure and simulated powder diffraction line list of Ac3Ta2N7 (a cell relaxed with GGA-PBE; Cu Kα, 1.54184 Å).

Cell and atoms:
Lattice parameters (Å, degrees): 4.154 4.154 21.396 90.00 90.00 90.00
Space group I4/mmm (No. 139)
Asymmetric unit:
Ac1 0.000 0.000 0.000 x2
Ac2 0.000 0.000 0.183 x4
Ta1 0.000 0.000 0.402 x4
N1 0.000 0.000 0.304 x4
N2 0.000 0.000 0.500 x2
N3 0.000 0.500 0.096 x8

Largest 10 diffraction maxima, low angle first, 2θ from 10° to 90°:
- (1 0 5), 30.0 deg, rel. 100
- (1 1 0), 30.4 deg, rel. 58
- (0 0 10), 42.2 deg, rel. 9
- (2 0 0), 43.6 deg, rel. 27
- (1 1 10), 52.9 deg, rel. 15
- (2 1 5), 53.8 deg, rel. 41
- (2 0 10), 62.3 deg, rel. 12
- (3 0 5), 71.6 deg, rel. 9
- (3 1 0), 71.9 deg, rel. 10
- (3 2 5), 87.7 deg, rel. 11


No. 4
Structure and simulated powder diffraction line list of Ac3TaN6 (a cell relaxed with GGA-PBE; Cu Kα, 1.54184 Å).

Cell and atoms:
Lattice parameters (Å, degrees): 10.631 6.108 6.296 90.00 122.31 90.00
Space group C2/m (No. 12)
Asymmetric unit:
Ac1 0.000 0.000 0.000 x2
Ac2 0.241 0.000 0.715 x4
Ta1 0.000 0.500 0.500 x2
N1 0.073 0.264 0.351 x8
N2 0.216 0.500 0.829 x4

Largest 10 diffraction maxima, low angle first, 2θ from 10° to 90°:
- (1 1 1), 27.8 deg, rel. 72
- (2 0 -2), 28.4 deg, rel. 31
- (3 1 -1), 29.2 deg, rel. 100
- (4 0 0), 40.1 deg, rel. 15
- (2 2 -2), 41.2 deg, rel. 30
- (1 1 -3), 49.1 deg, rel. 14
- (4 2 0), 50.4 deg, rel. 16
- (1 3 1), 51.0 deg, rel. 14
- (5 1 -3), 51.6 deg, rel. 23
- (3 3 -1), 51.8 deg, rel. 15


No. 5
Structure and simulated powder diffraction line list of Ac2TaVN5 (a cell relaxed with GGA-PBE; Cu Kα, 1.54184 Å).

Cell and atoms:
Lattice parameters (Å, degrees): 3.418 14.748 10.708 90.00 90.00 90.00
Space group Cmc2_1 (No. 36)
Asymmetric unit:
Ac1 0.000 0.118 0.000 x4
Ac2 0.000 0.135 0.632 x4
Ta1 0.000 0.208 0.340 x4
V1 0.000 0.445 0.762 x4
N1 0.000 0.046 0.339 x4
N2 0.000 0.295 0.965 x4
N3 0.000 0.323 0.706 x4
N4 0.000 0.338 0.322 x4
N5 0.000 0.499 0.615 x4

Largest 10 diffraction maxima, low angle first, 2θ from 10° to 90°:
- (0 4 0), 24.1 deg, rel. 29
- (1 1 0), 26.8 deg, rel. 37
- (0 2 3), 27.8 deg, rel. 100
- (0 4 2), 29.4 deg, rel. 47
- (1 3 0), 31.9 deg, rel. 55
- (1 3 1), 33.0 deg, rel. 38
- (1 1 3), 36.9 deg, rel. 92
- (0 6 1), 37.5 deg, rel. 32
- (1 5 2), 44.0 deg, rel. 48
- (1 7 2), 53.9 deg, rel. 35


No. 6
Structure and simulated powder diffraction line list of AcTb2TiN4 (a cell relaxed with GGA-PBE; Cu Kα, 1.54184 Å).

Cell and atoms:
Lattice parameters (Å, degrees): 3.503 12.160 11.942 90.00 90.00 90.00
Space group Cmcm (No. 63)
Asymmetric unit:
Ac1 0.000 0.093 0.250 x4
Tb1 0.000 0.370 0.040 x8
Ti1 0.000 0.170 0.750 x4
N1 0.000 0.000 0.000 x4
N2 0.000 0.262 0.623 x8
N3 0.000 0.418 0.250 x4

Largest 10 diffraction maxima, low angle first, 2θ from 10° to 90°:
- (0 2 3), 26.8 deg, rel. 67
- (0 4 0), 29.4 deg, rel. 41
- (0 0 4), 29.9 deg, rel. 36
- (1 1 2), 30.5 deg, rel. 100
- (1 3 1), 34.7 deg, rel. 48
- (1 3 2), 37.1 deg, rel. 42
- (0 4 4), 42.4 deg, rel. 19
- (1 1 5), 46.6 deg, rel. 24
- (1 5 2), 48.0 deg, rel. 27
- (1 3 5), 51.5 deg, rel. 29